Calculated X-ray diffraction stick pattern of K2MnCl2F4 for Cu Kα (λ = 1.5418 Å), from a GGA+U-relaxed structure.
Peak positions follow from Bragg's law for the DFT cell and can differ from measured ones.

Crystal structure
abc: 6.5117 6.5117 8.3887
angles: 90.00 90.00 90.00
Space group I4/mmm (No. 139)
Symmetry-distinct sites (fractional):
K: 0.0000 0.5000 0.2500
Mn: 0.0000 0.0000 0.0000
Cl: 0.0000 0.0000 0.2755
F: 0.2009 0.2009 0.0000

Principal peaks in the range 10° ≤ 2θ ≤ 90°, in order of rising 2θ:
(1 0 1), d = 5.144 Å, I 79; (1 1 0), d = 4.604 Å, I 20; (2 0 0), d = 3.256 Å, I 55; (1 1 2), d = 3.101 Å, I 27; (2 0 2), d = 2.571 Å, I 100; (2 2 0), d = 2.302 Å, I 64; (0 0 4), d = 2.097 Å, I 26; (2 0 4), d = 1.764 Å, I 27; (4 0 0), d = 1.628 Å, I 15; (2 2 4), d = 1.551 Å, I 30; (3 2 3), d = 1.517 Å, I 18; (4 0 4), d = 1.286 Å, I 15